Record 1
This entry pairs a crystal structure of Sr3Ca5Fe5Co3O24 with its calculated X-ray powder pattern. Radiation: copper Kα. Structure: DFT lattice parameters and positions (PBE+U).

Top 8 peaks for 10° ≤ 2θ ≤ 90°, in order of rising 2θ:
Position (°2θ)	Rel. int.
32.9	100
40.6	8
47.2	15
47.3	30
58.8	36
69.1	20
78.7	10
88.0	8

Structure:
abc: 7.686 7.686 7.702
angles: 90.02 90.00 90.01
Atoms (fractional coordinates):
Sr (0.000, 0.000, 0.000)
Sr (0.000, 0.494, 0.000)
Sr (0.503, 0.494, 0.000)
Ca (0.000, 0.494, 0.497)
Ca (0.503, 0.000, 0.000)
Ca (0.503, 0.000, 0.497)
Ca (0.503, 0.494, 0.497)
Ca (0.999, 0.000, 0.497)
Fe (0.252, 0.247, 0.746)
Fe (0.252, 0.748, 0.250)
Fe (0.252, 0.748, 0.746)
Fe (0.751, 0.748, 0.250)
Fe (0.751, 0.748, 0.747)
Co (0.252, 0.246, 0.251)
Co (0.750, 0.246, 0.746)
Co (0.750, 0.247, 0.251)
O (0.001, 0.748, 0.743)
O (0.005, 0.246, 0.257)
O (0.251, 0.246, 0.494)
O (0.252, 0.496, 0.742)
O (0.252, 0.748, 0.498)
O (0.253, 0.495, 0.255)
O (0.254, 0.000, 0.254)
O (0.254, 0.750, 0.999)
O (0.254, 0.999, 0.744)
O (0.255, 0.244, 0.003)
O (0.497, 0.244, 0.253)
O (0.501, 0.750, 0.744)
O (0.504, 0.750, 0.253)
O (0.509, 0.245, 0.744)
O (0.748, 0.244, 0.997)
O (0.749, 0.008, 0.253)
O (0.749, 0.750, 0.001)
O (0.749, 0.999, 0.744)
O (0.750, 0.246, 0.500)
O (0.750, 0.486, 0.254)
O (0.750, 0.748, 0.496)
O (0.751, 0.495, 0.741)
O (0.994, 0.246, 0.743)
O (0.999, 0.748, 0.255)

Record 2
This entry pairs a crystal structure of La3VH3O8 with its calculated X-ray powder pattern. Radiation: copper Kα. Structure: DFT lattice parameters and positions (PBE+U).

Top 8 peaks for 10° ≤ 2θ ≤ 90°, in order of rising 2θ:
Position (°2θ)	Rel. int.
17.9	37
24.9	65
28.7	49
29.2	100
33.2	20
45.0	21
47.0	20
50.9	22

Structure:
abc: 5.745 10.798 6.409
angles: 90.00 104.42 90.00
Atoms (fractional coordinates):
La (0.188, 0.042, 0.303)
La (0.188, 0.458, 0.303)
La (0.275, 0.250, 0.801)
La (0.725, 0.750, 0.199)
La (0.812, 0.542, 0.697)
La (0.812, 0.958, 0.697)
V (0.308, 0.750, 0.530)
V (0.692, 0.250, 0.470)
H (0.125, 0.750, 0.906)
H (0.344, 0.540, 0.902)
H (0.344, 0.960, 0.902)
H (0.656, 0.040, 0.098)
H (0.656, 0.460, 0.098)
H (0.875, 0.250, 0.094)
O (0.041, 0.632, 0.459)
O (0.041, 0.868, 0.459)
O (0.047, 0.250, 0.096)
O (0.234, 0.023, 0.932)
O (0.234, 0.477, 0.932)
O (0.436, 0.750, 0.807)
O (0.491, 0.628, 0.406)
O (0.491, 0.872, 0.406)
O (0.509, 0.128, 0.594)
O (0.509, 0.372, 0.594)
O (0.564, 0.250, 0.193)
O (0.766, 0.523, 0.068)
O (0.766, 0.977, 0.068)
O (0.953, 0.750, 0.904)
O (0.959, 0.132, 0.541)
O (0.959, 0.368, 0.541)

Record 3
This entry pairs a crystal structure of CaWO2 with its calculated X-ray powder pattern. Radiation: copper Kα. Structure: DFT lattice parameters and positions (PBE+U).

Top 8 peaks for 10° ≤ 2θ ≤ 90°, in order of rising 2θ:
Position (°2θ)	Rel. int.
16.0	59
26.7	30
30.2	42
32.3	100
40.7	48
51.5	37
55.0	31
68.9	24

Structure:
abc: 7.392 7.392 7.392
angles: 129.87 129.87 73.62
Atoms (fractional coordinates):
Ca (0.000, 0.000, 0.000)
Ca (0.000, 0.000, 0.500)
Ca (0.000, 0.500, 0.000)
Ca (0.500, 0.000, 0.500)
W (0.000, 0.500, 0.500)
W (0.500, 0.000, 0.000)
W (0.500, 0.500, 0.000)
W (0.500, 0.500, 0.500)
O (0.199, 0.225, 0.526)
O (0.199, 0.673, 0.974)
O (0.225, 0.199, 0.026)
O (0.327, 0.801, 0.526)
O (0.673, 0.199, 0.474)
O (0.775, 0.801, 0.974)
O (0.801, 0.327, 0.026)
O (0.801, 0.775, 0.474)

What is the formula in the second record? La3VH3O8